The following is a simulated XRD peak list of BeTl6Se4. It was derived from the PBE geometry in Alexandria, using Cu Kα, 1.54184 Å.
Neutral-atom scattering factors, no anomalous dispersion.

Atomic structure:
a b c (Å): 10.099 10.099 7.776
angles (deg): 90.00 90.00 120.00
Fractional coordinates of all 22 atoms:
Be  0.333  0.667  0.000
Be  0.667  0.333  0.500
Tl  0.066  0.533  0.393
Tl  0.148  0.296  0.708
Tl  0.148  0.852  0.708
Tl  0.296  0.148  0.208
Tl  0.467  0.533  0.393
Tl  0.467  0.934  0.393
Tl  0.533  0.066  0.893
Tl  0.533  0.467  0.893
Tl  0.704  0.852  0.708
Tl  0.852  0.148  0.208
Tl  0.852  0.704  0.208
Tl  0.934  0.467  0.893
Se  0.208  0.416  0.085
Se  0.208  0.792  0.085
Se  0.333  0.667  0.696
Se  0.416  0.208  0.585
Se  0.584  0.792  0.085
Se  0.667  0.333  0.196
Se  0.792  0.208  0.585
Se  0.792  0.584  0.585

Top 10 peaks for 5° ≤ 2θ ≤ 70°, by angle:
hkl 2 0 1, 3.812 Å, 2θ 23.34, intensity 347
hkl 1 0 2, 3.553 Å, 2θ 25.07, intensity 241
hkl 2 1 1, 3.042 Å, 2θ 29.36, intensity 856
hkl 2 0 2, 2.906 Å, 2θ 30.77, intensity 1000
hkl 3 0 1, 2.730 Å, 2θ 32.81, intensity 418
hkl 2 2 0, 2.524 Å, 2θ 35.58, intensity 646
hkl 2 0 3, 2.230 Å, 2θ 40.46, intensity 200
hkl 3 2 2, 1.783 Å, 2θ 51.23, intensity 204
hkl 5 0 1, 1.707 Å, 2θ 53.71, intensity 231
hkl 3 2 3, 1.587 Å, 2θ 58.14, intensity 224